# 1
Simulated X-ray diffraction stick pattern
Compound: Sr2TiMnO6
Radiation: a wavelength of 1.5418 Å
Structure: a GGA+U-relaxed structure

Most intense lines, 2θ from 10° to 80°, in order of rising 2θ:
(1 1 0), d = 2.768 Å, 2θ = 32.34°, I = 100; (1 0 2), d = 2.755 Å, 2θ = 32.50°, I = 49; (1 1 2), d = 2.257 Å, 2θ = 39.95°, I = 26; (0 2 0), d = 1.967 Å, 2θ = 46.16°, I = 20; (2 0 0), d = 1.951 Å, 2θ = 46.54°, I = 20; (0 0 4), d = 1.945 Å, 2θ = 46.70°, I = 19; (1 2 2), d = 1.601 Å, 2θ = 57.58°, I = 19; (2 1 2), d = 1.594 Å, 2θ = 57.83°, I = 19; (1 1 4), d = 1.592 Å, 2θ = 57.93°, I = 18; (2 2 0), d = 1.385 Å, 2θ = 67.64°, I = 11

Structure:
```
data_Sr2TiMnO6
_cell_length_a 3.9026
_cell_length_b 3.9331
_cell_length_c 7.7797
_cell_angle_alpha 90.00
_cell_angle_beta 90.00
_cell_angle_gamma 90.00
_symmetry_space_group_name_H-M 'P m m m'
_symmetry_Int_Tables_number 47
_symmetry_space_group_name_Hall '-P 2 2'
loop_
_atom_site_label
_atom_site_fract_x
_atom_site_fract_y
_atom_site_fract_z
Sr1 0.0000 0.0000 0.2447
Ti1 0.5000 0.5000 0.5000
Mn1 0.5000 0.5000 0.0000
O1 0.0000 0.5000 0.0000
O2 0.0000 0.5000 0.5000
O3 0.5000 0.0000 0.0000
O4 0.5000 0.0000 0.5000
O5 0.5000 0.5000 0.2463
```

=====

# 2
Simulated X-ray diffraction stick pattern
Compound: Li2Mn3P3O12
Radiation: a wavelength of 1.5418 Å
Structure: a GGA+U-relaxed structure

Most intense lines, 2θ from 10° to 80°, in order of rising 2θ:
(1 1 1), d = 4.526 Å, 2θ = 19.61°, I = 66; (0 2 0), d = 4.469 Å, 2θ = 19.87°, I = 34; (3 1 0), d = 3.799 Å, 2θ = 23.41°, I = 56; (1 1 -2), d = 3.742 Å, 2θ = 23.78°, I = 100; (5 1 -1), d = 2.745 Å, 2θ = 32.62°, I = 45; (4 2 -2), d = 2.708 Å, 2θ = 33.08°, I = 81; (2 0 2), d = 2.624 Å, 2θ = 34.17°, I = 29; (1 3 1), d = 2.591 Å, 2θ = 34.62°, I = 50; (5 3 -3), d = 1.922 Å, 2θ = 47.28°, I = 21; (4 4 -2), d = 1.871 Å, 2θ = 48.67°, I = 35

Structure:
```
data_Li2Mn3P3O12
_cell_length_a 14.7128
_cell_length_b 8.9376
_cell_length_c 8.5339
_cell_angle_alpha 90.00
_cell_angle_beta 121.14
_cell_angle_gamma 90.00
_symmetry_space_group_name_H-M 'C 1 2 1'
_symmetry_Int_Tables_number 5
_symmetry_space_group_name_Hall 'C 2y'
loop_
_atom_site_label
_atom_site_fract_x
_atom_site_fract_y
_atom_site_fract_z
Li1 0.0000 0.0000 0.0000
Li2 0.0000 0.3031 0.5000
Li3 0.1991 0.6913 0.8991
Mn1 0.0953 0.3926 0.9065
Mn2 0.1030 0.8969 0.3965
Mn3 0.2461 0.3884 0.7417
P1 0.0000 0.6069 0.5000
P2 0.0000 0.7038 0.0000
P3 0.1466 0.0417 0.8063
P4 0.1548 0.2389 0.3169
O1 0.0415 0.0024 0.7933
O2 0.0476 0.2895 0.2890
O3 0.0531 0.7047 0.4225
O4 0.0612 0.6115 0.9343
O5 0.0861 0.8131 0.1475
O6 0.0875 0.5002 0.6473
O7 0.1515 0.9826 0.6439
O8 0.1647 0.0613 0.3235
O9 0.1680 0.2157 0.8174
O10 0.1703 0.2776 0.1566
O11 0.2369 0.9784 0.9964
O12 0.2417 0.3034 0.5027
```

=====

# 3
Simulated X-ray diffraction stick pattern
Compound: Li9Co13O28
Radiation: a wavelength of 1.5418 Å
Structure: a GGA+U-relaxed structure

Most intense lines, 2θ from 10° to 80°, in order of rising 2θ:
(0 1 1), d = 4.804 Å, 2θ = 18.47°, I = 100; (3 -1 0), d = 2.401 Å, 2θ = 37.45°, I = 36; (2 2 -2), d = 2.309 Å, 2θ = 39.01°, I = 6; (1 -4 1), d = 2.024 Å, 2θ = 44.77°, I = 19; (3 0 1), d = 2.014 Å, 2θ = 45.01°, I = 37; (2 3 -1), d = 1.863 Å, 2θ = 48.88°, I = 6; (1 -5 0), d = 1.578 Å, 2θ = 58.50°, I = 5; (2 4 0), d = 1.452 Å, 2θ = 64.15°, I = 5; (4 -4 2), d = 1.406 Å, 2θ = 66.49°, I = 5; (5 0 -3), d = 1.406 Å, 2θ = 66.52°, I = 10

Structure:
```
data_Li9Co13O28
_cell_length_a 7.4390
_cell_length_b 8.1051
_cell_length_c 8.5256
_cell_angle_alpha 101.55
_cell_angle_beta 104.43
_cell_angle_gamma 105.24
_symmetry_space_group_name_H-M 'P 1'
_symmetry_Int_Tables_number 1
_symmetry_space_group_name_Hall 'P 1'
loop_
_atom_site_label
_atom_site_fract_x
_atom_site_fract_y
_atom_site_fract_z
Li1 0.0000 0.0000 0.0000
Li2 0.0666 0.2218 0.7926
Li3 0.1395 0.4399 0.5583
Li4 0.2201 0.6400 0.3441
Li5 0.3022 0.8576 0.1370
Li6 0.4163 0.2854 0.7091
Li7 0.7065 0.1459 0.8654
Li8 0.7747 0.3734 0.6328
Li9 0.8986 0.7715 0.2175
Co1 0.0664 0.7125 0.7857
Co2 0.1408 0.9312 0.5709
Co3 0.2136 0.1493 0.3577
Co4 0.2789 0.3596 0.1377
Co5 0.3519 0.5766 0.9341
Co6 0.4283 0.7927 0.7183
Co7 0.4964 0.0003 0.4975
Co8 0.5670 0.2153 0.2803
Co9 0.6409 0.4274 0.0655
Co10 0.7139 0.6408 0.8557
Co11 0.7779 0.8487 0.6339
Co12 0.8520 0.0692 0.4239
Co13 0.9237 0.2888 0.2048
O1 0.0041 0.2505 0.0215
O2 0.0490 0.9382 0.7621
O3 0.0908 0.4938 0.7848
O4 0.1258 0.1634 0.5551
O5 0.1595 0.7064 0.5926
O6 0.1951 0.3783 0.3348
O7 0.2213 0.9152 0.3714
O8 0.2885 0.5871 0.1232
O9 0.2942 0.1299 0.1642
O10 0.3402 0.8014 0.9104
O11 0.3615 0.3461 0.9408
O12 0.4188 0.0181 0.6955
O13 0.4374 0.5650 0.7379
O14 0.4902 0.2306 0.4783
O15 0.5000 0.7741 0.5227
O16 0.5510 0.4316 0.2520
O17 0.5814 0.9913 0.3047
O18 0.6305 0.6545 0.0495
O19 0.6509 0.2005 0.0860
O20 0.6934 0.4104 0.8601
O21 0.7022 0.8690 0.8322
O22 0.7739 0.0867 0.6223
O23 0.7953 0.6246 0.6605
O24 0.8418 0.2967 0.4048
O25 0.8697 0.8508 0.4440
O26 0.8970 0.5050 0.1977
O27 0.9417 0.0613 0.2353
O28 0.9788 0.7449 0.9707
```

=====

# 4
Simulated X-ray diffraction stick pattern
Compound: Ti2CrP3O12
Radiation: a wavelength of 1.5418 Å
Structure: a GGA+U-relaxed structure

Most intense lines, 2θ from 10° to 80°, in order of rising 2θ:
(1 1 0), d = 4.331 Å, 2θ = 20.50°, I = 60; (1 1 3), d = 3.703 Å, 2θ = 24.03°, I = 100; (2 0 2), d = 3.540 Å, 2θ = 25.16°, I = 14; (2 1 1), d = 2.811 Å, 2θ = 31.83°, I = 16; (1 1 6), d = 2.755 Å, 2θ = 32.50°, I = 61; (3 0 0), d = 2.501 Å, 2θ = 35.91°, I = 27; (1 2 8), d = 1.947 Å, 2θ = 46.66°, I = 24; (2 2 6), d = 1.852 Å, 2θ = 49.21°, I = 22; (4 1 0), d = 1.637 Å, 2θ = 56.18°, I = 19; (4 1 6), d = 1.488 Å, 2θ = 62.40°, I = 14

Structure:
```
data_Ti2CrP3O12
_cell_length_a 8.6629
_cell_length_b 8.6629
_cell_length_c 21.4171
_cell_angle_alpha 90.00
_cell_angle_beta 90.00
_cell_angle_gamma 120.00
_symmetry_space_group_name_H-M 'R -3 c'
_symmetry_Int_Tables_number 167
_symmetry_space_group_name_Hall '-R 3 2"c'
loop_
_atom_site_label
_atom_site_fract_x
_atom_site_fract_y
_atom_site_fract_z
Ti1 0.0000 0.0000 0.1442
Cr1 0.0000 0.0000 0.0000
P1 0.0000 0.2910 0.2500
O1 0.0068 0.1938 0.1907
O2 0.0230 0.1874 0.9189
```

=====

# 5
Simulated X-ray diffraction stick pattern
Compound: MnOF
Radiation: a wavelength of 1.5418 Å
Structure: a GGA+U-relaxed structure

Most intense lines, 2θ from 10° to 80°, in order of rising 2θ:
(1 0 0), d = 3.697 Å, 2θ = 24.07°, I = 64; (1 0 -2), d = 3.470 Å, 2θ = 25.67°, I = 54; (1 2 0), d = 3.000 Å, 2θ = 29.78°, I = 100; (1 2 -2), d = 2.874 Å, 2θ = 31.11°, I = 97; (0 2 2), d = 2.483 Å, 2θ = 36.18°, I = 48; (1 2 1), d = 2.241 Å, 2θ = 40.24°, I = 37; (2 2 0), d = 1.739 Å, 2θ = 52.62°, I = 39; (2 4 -2), d = 1.715 Å, 2θ = 53.43°, I = 50; (2 2 -4), d = 1.643 Å, 2θ = 55.96°, I = 31; (0 6 2), d = 1.465 Å, 2θ = 63.48°, I = 32

Structure:
```
data_MnOF
_cell_length_a 4.6192
_cell_length_b 10.2685
_cell_length_c 7.0889
_cell_angle_alpha 90.00
_cell_angle_beta 126.83
_cell_angle_gamma 90.00
_symmetry_space_group_name_H-M 'P 1 c 1'
_symmetry_Int_Tables_number 7
_symmetry_space_group_name_Hall 'P -2yc'
loop_
_atom_site_label
_atom_site_fract_x
_atom_site_fract_y
_atom_site_fract_z
Mn1 0.0000 0.0100 0.0000
Mn2 0.2407 0.2489 0.7929
Mn3 0.2438 0.2524 0.2934
Mn4 0.9151 0.4870 0.4848
O1 0.0144 0.0830 0.2613
O2 0.1793 0.3297 0.5248
O3 0.2383 0.1715 0.0355
O4 0.4003 0.4212 0.2559
F1 0.4770 0.0984 0.7640
F2 0.7188 0.3511 0.0241
F3 0.7692 0.1469 0.5293
F4 0.9288 0.3943 0.7549
```

=====

# 6
Simulated X-ray diffraction stick pattern
Compound: Li2CrO4
Radiation: a wavelength of 1.5418 Å
Structure: a GGA+U-relaxed structure

Most intense lines, 2θ from 10° to 80°, in order of rising 2θ:
(0 1 0), d = 4.891 Å, 2θ = 18.14°, I = 23; (1 0 0), d = 4.466 Å, 2θ = 19.88°, I = 68; (1 1 0), d = 4.273 Å, 2θ = 20.79°, I = 28; (1 1 1), d = 4.234 Å, 2θ = 20.98°, I = 100; (0 1 -1), d = 4.113 Å, 2θ = 21.61°, I = 73; (0 1 1), d = 4.030 Å, 2θ = 22.06°, I = 72; (0 0 2), d = 3.670 Å, 2θ = 24.25°, I = 55; (1 0 2), d = 3.394 Å, 2θ = 26.26°, I = 64; (1 1 -1), d = 3.317 Å, 2θ = 26.88°, I = 41; (1 -1 0), d = 2.783 Å, 2θ = 32.17°, I = 29

Structure:
```
data_Li2CrO4
_cell_length_a 5.1703
_cell_length_b 5.3903
_cell_length_c 7.7694
_cell_angle_alpha 83.20
_cell_angle_beta 70.91
_cell_angle_gamma 65.18
_symmetry_space_group_name_H-M 'P -1'
_symmetry_Int_Tables_number 2
_symmetry_space_group_name_Hall '-P 1'
loop_
_atom_site_label
_atom_site_fract_x
_atom_site_fract_y
_atom_site_fract_z
Li1 0.0356 0.2413 0.4434
Li2 0.2447 0.7835 0.1813
Cr1 0.4073 0.7939 0.7531
O1 0.1547 0.9615 0.6400
O2 0.2393 0.6886 0.9461
O3 0.2973 0.4763 0.3681
O4 0.4494 0.0040 0.2112
```

=====

> Which formula does entry 5 have?

MnOF